This entry pairs a crystal structure of Dy2YCu with its calculated PXRD pattern. Radiation: CuKα. Structure: a crystal structure in Alexandria, relaxed with PBE.
Lines closer than 0.1° are merged.

Cell and atoms:
```
data_Dy2YCu
_chemical_formula_sum 'Dy8 Y4 Cu4'
_symmetry_space_group_name_H-M 'P n m a'
_symmetry_Int_Tables_number 62
_symmetry_space_group_name_Hall '-P 2ac 2n'
_cell_length_a 6.8541
_cell_length_b 9.7331
_cell_length_c 6.4691
_cell_angle_alpha 90.00
_cell_angle_beta 90.00
_cell_angle_gamma 90.00
loop_
_atom_site_label
_atom_site_type_symbol
_atom_site_fract_x
_atom_site_fract_y
_atom_site_fract_z
Dy1 Dy 0.1903 0.0600 0.1843
Y1 Y 0.0191 0.2500 0.6328
Cu1 Cu 0.0960 0.7500 0.9442
```

Top 10 peaks for 2θ from 10° to 90°, most intense first:
30.86 deg, 2.898 Å, I = 100.0, hkl 0 3 1; 31.94 deg, 2.802 Å, I = 90.4, hkl 2 2 0; 34.89 deg, 2.571 Å, I = 36.9, hkl 2 2 1; 38.22 deg, 2.355 Å, I = 36.8, hkl 2 3 0; 30.56 deg, 2.925 Å, I = 32.2, hkl 1 0 2; 35.82 deg, 2.507 Å, I = 30.8, hkl 1 2 2; 33.55 deg, 2.671 Å, I = 28.2, hkl 1 3 1; 33.26 deg, 2.694 Å, I = 25.4, hkl 0 2 2; 29.50 deg, 3.028 Å, I = 22.1, hkl 2 0 1; 52.69 deg, 1.737 Å, I = 20.3, hkl 1 3 3